No. 1
Computed X-ray diffraction stick pattern
Compound: LaAlHg3
Radiation: Cu Kα
Structure: a structure optimized by DFT (GGA-PBE)
No peak broadening, texture or thermal motion is included.

Crystal structure
```
data_LaAlHg3
_chemical_formula_sum 'La2 Al2 Hg6'
_cell_length_a 6.636
_cell_length_b 6.639
_cell_length_c 6.507
_cell_angle_alpha 90.00
_cell_angle_beta 120.27
_cell_angle_gamma 90.00
_symmetry_space_group_name_H-M 'C 1 m 1'
_symmetry_Int_Tables_number 8
loop_
_symmetry_equiv_pos_as_xyz
'x,y,z'
'x,-y,z'
'x+1/2,y+1/2,z'
'x+1/2,-y+1/2,z'
loop_
_atom_site_label
_atom_site_type_symbol
_atom_site_fract_x
_atom_site_fract_y
_atom_site_fract_z
La1 La 0.000 0.000 0.000
Al1 Al 0.381 0.000 0.759
Hg1 Hg 0.014 0.249 0.528
Hg2 Hg 0.106 0.500 0.211
```

Main lines, sorted by position (2θ from 10° to 80°):
15.77°, 5.620 Å, rel. 21.3; 30.45°, 2.935 Å, rel. 14.6; 30.60°, 2.921 Å, rel. 14.8; 31.27°, 2.861 Å, rel. 100.0; 31.40°, 2.849 Å, rel. 32.9; 38.36°, 2.347 Å, rel. 57.5; 42.13°, 2.145 Å, rel. 15.2; 55.36°, 1.659 Å, rel. 20.0; 64.91°, 1.437 Å, rel. 16.9; 65.07°, 1.433 Å, rel. 18.3



No. 2
Computed X-ray diffraction stick pattern
Compound: Pr2Sb2Pd3
Radiation: Cu Kα
Structure: a structure optimized by DFT (GGA-PBE)
No peak broadening, texture or thermal motion is included.

Crystal structure
```
data_Pr2Sb2Pd3
_chemical_formula_sum 'Pr4 Sb4 Pd6'
_cell_length_a 11.223
_cell_length_b 4.351
_cell_length_c 7.169
_cell_angle_alpha 90.00
_cell_angle_beta 113.78
_cell_angle_gamma 90.00
_symmetry_space_group_name_H-M 'C 1 2/m 1'
_symmetry_Int_Tables_number 12
loop_
_symmetry_equiv_pos_as_xyz
'x,y,z'
'-x,-y,-z'
'-x,y,-z'
'x,-y,z'
'x+1/2,y+1/2,z'
'-x+1/2,-y+1/2,-z'
'-x+1/2,y+1/2,-z'
'x+1/2,-y+1/2,z'
loop_
_atom_site_label
_atom_site_type_symbol
_atom_site_fract_x
_atom_site_fract_y
_atom_site_fract_z
Pr1 Pr 0.135 0.000 0.253
Sb1 Sb 0.149 0.000 0.729
Pd1 Pd 0.000 0.500 0.500
Pd2 Pd 0.106 0.500 0.933
```

Main lines, sorted by position (2θ from 10° to 80°):
31.69°, 2.823 Å, rel. 46.2; 32.44°, 2.760 Å, rel. 47.4; 33.30°, 2.691 Å, rel. 62.2; 34.95°, 2.567 Å, rel. 36.6; 35.84°, 2.506 Å, rel. 70.7; 38.09°, 2.363 Å, rel. 100.0; 41.50°, 2.176 Å, rel. 52.6; 55.35°, 1.660 Å, rel. 19.3; 56.12°, 1.639 Å, rel. 16.6; 61.72°, 1.503 Å, rel. 23.7



No. 3
Computed X-ray diffraction stick pattern
Compound: Cd3Fe
Radiation: Cu Kα
Structure: a structure optimized by DFT (GGA-PBE)
No peak broadening, texture or thermal motion is included.

Crystal structure
```
data_Cd3Fe
_chemical_formula_sum 'Cd6 Fe2'
_cell_length_a 10.257
_cell_length_b 2.982
_cell_length_c 5.151
_cell_angle_alpha 90.00
_cell_angle_beta 105.64
_cell_angle_gamma 90.00
_symmetry_space_group_name_H-M 'C 1 2/m 1'
_symmetry_Int_Tables_number 12
loop_
_symmetry_equiv_pos_as_xyz
'x,y,z'
'-x,-y,-z'
'-x,y,-z'
'x,-y,z'
'x+1/2,y+1/2,z'
'-x+1/2,-y+1/2,-z'
'-x+1/2,y+1/2,-z'
'x+1/2,-y+1/2,z'
loop_
_atom_site_label
_atom_site_type_symbol
_atom_site_fract_x
_atom_site_fract_y
_atom_site_fract_z
Cd1 Cd 0.000 0.000 0.000
Cd2 Cd 0.233 0.000 0.733
Fe1 Fe 0.000 0.500 0.500
```

Main lines, sorted by position (2θ from 10° to 80°):
35.87°, 2.503 Å, rel. 58.4; 36.38°, 2.469 Å, rel. 50.6; 37.56°, 2.395 Å, rel. 100.0; 41.62°, 2.170 Å, rel. 74.3; 45.12°, 2.009 Å, rel. 27.6; 58.32°, 1.582 Å, rel. 12.1; 62.71°, 1.482 Å, rel. 20.7; 63.39°, 1.467 Å, rel. 16.2; 71.15°, 1.325 Å, rel. 14.0; 74.00°, 1.281 Å, rel. 14.7



No. 4
Computed X-ray diffraction stick pattern
Compound: HfCu23Pd6
Radiation: Cu Kα
Structure: a structure optimized by DFT (GGA-PBE)
No peak broadening, texture or thermal motion is included.

Crystal structure
```
data_HfCu23Pd6
_chemical_formula_sum 'Hf4 Cu92 Pd24'
_cell_length_a 11.666
_cell_length_b 11.666
_cell_length_c 11.666
_cell_angle_alpha 90.00
_cell_angle_beta 90.00
_cell_angle_gamma 90.00
_symmetry_space_group_name_H-M 'F m -3 m'
_symmetry_Int_Tables_number 225
_symmetry_space_group_name_Hall '-F 4 2 3'
loop_
_atom_site_label
_atom_site_type_symbol
_atom_site_fract_x
_atom_site_fract_y
_atom_site_fract_z
Hf1 Hf 0.000 0.000 0.000
Cu1 Cu 0.000 0.000 0.500
Cu2 Cu 0.000 0.250 0.250
Cu3 Cu 0.127 0.127 0.373
Cu4 Cu 0.149 0.149 0.149
Pd1 Pd 0.000 0.000 0.237
```

Main lines, sorted by position (2θ from 10° to 80°):
15.19°, 5.833 Å, rel. 3.2; 34.38°, 2.609 Å, rel. 17.7; 40.17°, 2.245 Å, rel. 10.3; 43.90°, 2.062 Å, rel. 100.0; 46.72°, 1.944 Å, rel. 7.0; 61.01°, 1.519 Å, rel. 2.9; 63.83°, 1.458 Å, rel. 12.7; 66.04°, 1.415 Å, rel. 5.7; 72.47°, 1.304 Å, rel. 2.8; 78.16°, 1.223 Å, rel. 4.5



No. 5
Computed X-ray diffraction stick pattern
Compound: Sm2TlAgTe4
Radiation: Cu Kα
Structure: a structure optimized by DFT (GGA-PBE)
No peak broadening, texture or thermal motion is included.

Crystal structure
```
data_Sm2TlAgTe4
_chemical_formula_sum 'Sm8 Tl4 Ag4 Te16'
_cell_length_a 4.486
_cell_length_b 15.094
_cell_length_c 15.883
_cell_angle_alpha 90.00
_cell_angle_beta 90.00
_cell_angle_gamma 90.00
_symmetry_space_group_name_H-M 'C m c m'
_symmetry_Int_Tables_number 63
_symmetry_space_group_name_Hall '-C 2c 2'
loop_
_atom_site_label
_atom_site_type_symbol
_atom_site_fract_x
_atom_site_fract_y
_atom_site_fract_z
Sm1 Sm 0.000 0.132 0.070
Tl1 Tl 0.000 0.373 0.250
Ag1 Ag 0.000 0.344 0.750
Te1 Te 0.000 0.045 0.250
Te2 Te 0.000 0.229 0.609
Te3 Te 0.000 0.500 0.000
```

Main lines, sorted by position (2θ from 10° to 80°):
20.49°, 4.334 Å, rel. 19.5; 25.34°, 3.514 Å, rel. 29.1; 27.22°, 3.276 Å, rel. 54.5; 28.94°, 3.085 Å, rel. 100.0; 33.86°, 2.647 Å, rel. 21.3; 35.09°, 2.557 Å, rel. 34.8; 39.67°, 2.272 Å, rel. 27.7; 39.82°, 2.264 Å, rel. 26.4; 40.21°, 2.243 Å, rel. 31.7; 57.76°, 1.596 Å, rel. 18.6



No. 6
Computed X-ray diffraction stick pattern
Compound: Na5Tl3Hg2
Radiation: Cu Kα
Structure: a structure optimized by DFT (GGA-PBE)
No peak broadening, texture or thermal motion is included.

Crystal structure
```
data_Na5Tl3Hg2
_chemical_formula_sum 'Na5 Tl3 Hg2'
_cell_length_a 4.804
_cell_length_b 5.987
_cell_length_c 10.506
_cell_angle_alpha 92.04
_cell_angle_beta 90.06
_cell_angle_gamma 113.49
_symmetry_space_group_name_H-M 'P -1'
_symmetry_Int_Tables_number 2
loop_
_symmetry_equiv_pos_as_xyz
'x,y,z'
'-x,-y,-z'
loop_
_atom_site_label
_atom_site_type_symbol
_atom_site_fract_x
_atom_site_fract_y
_atom_site_fract_z
Na1 Na 0.000 0.000 0.000
Na2 Na 0.190 0.380 0.404
Na3 Na 0.315 0.628 0.117
Tl1 Tl 0.386 0.775 0.802
Tl2 Tl 0.500 0.000 0.500
Hg1 Hg 0.098 0.197 0.698
```

Main lines, sorted by position (2θ from 10° to 80°):
16.16°, 5.486 Å, rel. 25.4; 16.89°, 5.249 Å, rel. 28.4; 21.78°, 4.081 Å, rel. 36.3; 22.02°, 4.036 Å, rel. 33.2; 32.18°, 2.782 Å, rel. 100.0; 32.44°, 2.760 Å, rel. 99.7; 36.35°, 2.471 Å, rel. 35.5; 37.44°, 2.402 Å, rel. 39.5; 38.61°, 2.332 Å, rel. 30.8; 54.87°, 1.673 Å, rel. 22.4



No. 7
Computed X-ray diffraction stick pattern
Compound: CsInTcH6
Radiation: Cu Kα
Structure: a structure optimized by DFT (GGA-PBE)
No peak broadening, texture or thermal motion is included.

Crystal structure
```
data_CsInTcH6
_chemical_formula_sum 'Cs1 In1 Tc1 H6'
_cell_length_a 4.927
_cell_length_b 4.974
_cell_length_c 6.393
_cell_angle_alpha 87.48
_cell_angle_beta 89.95
_cell_angle_gamma 60.33
_symmetry_space_group_name_H-M 'P 1'
_symmetry_Int_Tables_number 1
loop_
_symmetry_equiv_pos_as_xyz
'x,y,z'
loop_
_atom_site_label
_atom_site_type_symbol
_atom_site_fract_x
_atom_site_fract_y
_atom_site_fract_z
Cs1 Cs 0.000 0.000 0.000
In1 In 0.302 0.396 0.486
Tc1 Tc 0.669 0.664 0.519
H1 H 0.509 0.982 0.679
H2 H 0.511 0.978 0.327
H3 H 0.523 0.561 0.725
H4 H 0.739 0.525 0.274
H5 H 0.862 0.278 0.536
H6 H 0.916 0.562 0.725
```

Main lines, sorted by position (2θ from 10° to 80°):
24.30°, 3.662 Å, rel. 60.8; 24.76°, 3.596 Å, rel. 100.0; 25.34°, 3.514 Å, rel. 65.1; 25.48°, 3.496 Å, rel. 69.6; 27.95°, 3.193 Å, rel. 73.9; 36.15°, 2.485 Å, rel. 70.9; 36.48°, 2.463 Å, rel. 39.1; 45.26°, 2.003 Å, rel. 39.9; 46.58°, 1.950 Å, rel. 44.5; 47.25°, 1.924 Å, rel. 37.2



No. 8
Computed X-ray diffraction stick pattern
Compound: Sr2CuH6O6
Radiation: Cu Kα
Structure: a structure optimized by DFT (GGA-PBE)
No peak broadening, texture or thermal motion is included.

Crystal structure
```
data_Sr2CuH6O6
_chemical_formula_sum 'Sr4 Cu2 H12 O12'
_cell_length_a 5.816
_cell_length_b 6.266
_cell_length_c 9.768
_cell_angle_alpha 90.00
_cell_angle_beta 124.20
_cell_angle_gamma 90.00
_symmetry_space_group_name_H-M 'P 1 21/c 1'
_symmetry_Int_Tables_number 14
loop_
_symmetry_equiv_pos_as_xyz
'x,y,z'
'-x,-y,-z'
'-x,y+1/2,-z+1/2'
'x,-y+1/2,z+1/2'
loop_
_atom_site_label
_atom_site_type_symbol
_atom_site_fract_x
_atom_site_fract_y
_atom_site_fract_z
Sr1 Sr 0.213 0.074 0.253
Cu1 Cu 0.500 0.000 0.000
H1 H 0.174 0.165 0.525
H2 H 0.212 0.728 0.015
H3 H 0.230 0.575 0.200
O1 O 0.043 0.244 0.931
O2 O 0.301 0.726 0.953
O3 O 0.374 0.036 0.765
```

Main lines, sorted by position (2θ from 10° to 80°):
17.91°, 4.951 Å, rel. 33.6; 19.17°, 4.630 Å, rel. 40.7; 30.03°, 2.976 Å, rel. 100.0; 30.61°, 2.921 Å, rel. 36.9; 30.77°, 2.906 Å, rel. 59.7; 30.95°, 2.889 Å, rel. 80.8; 35.43°, 2.534 Å, rel. 52.3; 44.32°, 2.044 Å, rel. 30.5; 44.87°, 2.020 Å, rel. 39.2; 54.05°, 1.697 Å, rel. 31.8